Entry 1:
Sr2CoCu2O7: theoretical powder X-ray diffraction pattern (a wavelength of 1.5418 Å), based on a cell relaxed with GGA+U.
Kinematic intensities with the Lorentz-polarization factor, no thermal factor.

Structural model:
```
Sr2CoCu2O7
1.0
-12.3187 2.5859 2.5698
12.3187 -2.5859 2.5698
12.3187 2.5859 -2.5698
Sr Co Cu O
4 2 4 14
Cartesian
3.6447 0.0084 0.0000 Sr
8.6740 0.0084 0.0000 Sr
3.6447 2.5776 2.5698 Sr
8.6740 2.5776 2.5698 Sr
6.1594 -0.3402 2.3490 Co
6.1594 2.9261 -0.2208 Co
1.4393 -0.0064 2.5677 Cu
10.8794 -0.0064 2.5677 Cu
1.4393 2.5923 -0.0020 Cu
10.8794 2.5923 -0.0020 Cu
-1.8433 3.8848 1.2787 O
14.1734 1.2934 -1.2845 O
10.4640 -1.2925 1.2853 O
1.8433 1.2989 3.8485 O
18.4781 0.4928 0.4621 O
4.4692 2.5410 0.0120 O
7.8495 2.5410 0.0120 O
1.8433 1.2870 1.2787 O
10.4754 1.2870 1.2787 O
-1.8547 1.2925 1.2853 O
14.1734 1.2925 1.2853 O
4.4692 0.0449 2.5817 O
7.8495 0.0449 2.5817 O
-6.1594 2.0931 3.0319 O
```

Largest 6 diffraction maxima, in order of rising 2θ, 2θ = 10–80°:
| two_theta | I/Imax |
| --- | --- |
| 28.5 | 100 |
| 32.9 | 91 |
| 34.9 | 42 |
| 36.5 | 41 |
| 38.3 | 43 |
| 50.0 | 49 |

***

Entry 2:
Co3Cu3Te2O16: theoretical powder X-ray diffraction pattern (a wavelength of 1.5418 Å), based on a cell relaxed with GGA+U.
Kinematic intensities with the Lorentz-polarization factor, no thermal factor.

Structural model:
```
Co3Cu3Te2O16
1.0
5.7365 0.0000 0.0000
-2.8230 5.0959 0.0000
-0.0076 -0.4935 9.1910
Co Cu Te O
3 3 2 16
Cartesian
0.0000 0.0000 0.0000 Co
-1.3677 3.9707 4.5921 Co
0.0908 5.0684 0.0284 Co
0.0158 1.4308 4.6032 Cu
1.4853 2.5612 0.0053 Cu
2.8957 1.4465 4.6059 Cu
-1.3738 2.5304 2.0682 Te
1.5271 3.8636 6.6592 Te
-2.8028 4.7498 5.7111 O
-1.4200 2.3435 5.4450 O
0.0306 1.6303 1.1213 O
-1.3474 4.2574 1.0263 O
-0.0821 3.2489 3.3975 O
1.4784 0.5455 3.7583 O
1.4541 0.3401 8.3462 O
0.2115 3.0733 8.0272 O
0.0594 4.6897 5.7757 O
1.4919 2.1329 5.7155 O
2.8719 1.6558 1.0704 O
1.5146 4.2604 0.9071 O
4.3333 0.2216 8.1034 O
2.8490 3.1222 7.9857 O
4.2778 0.9184 3.3508 O
3.0897 3.3638 3.3068 O
```

Largest 6 diffraction maxima, in order of rising 2θ, 2θ = 10–80°:
| two_theta | I/Imax |
| --- | --- |
| 19.9 | 51 |
| 20.1 | 55 |
| 20.4 | 100 |
| 20.5 | 50 |
| 36.9 | 61 |
| 37.2 | 57 |

***

Entry 3:
Co3Cu3Te2O12: theoretical powder X-ray diffraction pattern (a wavelength of 1.5418 Å), based on a cell relaxed with GGA+U.
Kinematic intensities with the Lorentz-polarization factor, no thermal factor.

Structural model:
```
Co3Cu3Te2O12
1.0
-4.8536 4.8536 4.8536
4.8536 -4.8536 4.8536
4.8536 4.8536 -4.8536
Co Cu Te O
6 6 4 24
Cartesian
7.2803 2.0704 0.0000 Co
2.7832 0.0000 2.4268 Co
2.4268 2.7832 0.0000 Co
0.0000 2.4268 2.7832 Co
2.0704 0.0000 7.2803 Co
0.0000 7.2803 2.0704 Co
4.8536 -2.4268 2.7126 Cu
2.7126 4.8536 -2.4268 Cu
4.8536 2.4268 2.1410 Cu
2.4268 2.1410 4.8536 Cu
2.1410 4.8536 2.4268 Cu
-2.4268 2.7126 4.8536 Cu
4.8843 -0.0308 0.0308 Te
0.0308 4.8843 -0.0308 Te
-0.0308 0.0308 4.8843 Te
4.8228 4.8228 4.8228 Te
4.0994 -1.2127 1.3981 O
1.3466 -0.8065 1.1822 O
1.1822 1.3466 -0.8065 O
6.2517 0.7541 1.2127 O
3.6713 1.3466 0.8065 O
4.0471 3.6713 -1.3466 O
-0.8065 1.1822 1.3466 O
3.6713 -1.3466 4.0471 O
1.3981 4.0994 -1.2127 O
6.0358 3.5070 0.8065 O
1.3466 0.8065 3.6713 O
4.0994 1.2127 3.4555 O
0.8065 3.6713 1.3466 O
3.4555 4.0994 1.2127 O
-1.2127 1.3981 4.0994 O
3.5070 0.8065 6.0358 O
1.2127 6.2517 0.7541 O
5.6077 3.6409 3.4555 O
0.7541 1.2127 6.2517 O
1.2127 3.4555 4.0994 O
-1.3466 4.0471 3.6713 O
3.6409 3.4555 5.6077 O
3.4555 5.6077 3.6409 O
0.8065 6.0358 3.5070 O
```

Largest 6 diffraction maxima, in order of rising 2θ, 2θ = 10–80°:
| two_theta | I/Imax |
| --- | --- |
| 18.3 | 19 |
| 22.4 | 9 |
| 31.9 | 100 |
| 37.0 | 27 |
| 53.4 | 39 |
| 63.6 | 29 |

***

Entry 4:
YCo4Cu3O12: theoretical powder X-ray diffraction pattern (a wavelength of 1.5418 Å), based on a cell relaxed with GGA+U.
Kinematic intensities with the Lorentz-polarization factor, no thermal factor.

Structural model:
```
YCo4Cu3O12
1.0
-3.6394 3.6394 3.6394
3.6394 -3.6394 3.6394
3.6394 3.6394 -3.6394
Y Co Cu O
1 4 3 12
Cartesian
0.0000 0.0000 0.0000 Y
1.8197 1.8197 -1.8197 Co
1.8197 -1.8197 1.8197 Co
-1.8197 1.8197 1.8197 Co
1.8197 1.8197 1.8197 Co
3.6394 0.0000 0.0000 Cu
0.0000 3.6394 0.0000 Cu
0.0000 0.0000 3.6394 Cu
3.6394 -1.4154 2.4009 O
2.2240 1.2385 0.0000 O
5.0548 1.2385 0.0000 O
2.4009 3.6394 -1.4154 O
1.2385 0.0000 2.2240 O
0.0000 2.2240 1.2385 O
3.6394 1.4154 2.4009 O
2.4009 3.6394 1.4154 O
1.2385 0.0000 5.0548 O
-1.4154 2.4009 3.6394 O
1.4154 2.4009 3.6394 O
0.0000 5.0548 1.2385 O
```

Largest 6 diffraction maxima, in order of rising 2θ, 2θ = 10–80°:
| two_theta | I/Imax |
| --- | --- |
| 34.9 | 100 |
| 39.1 | 6 |
| 46.7 | 4 |
| 50.1 | 25 |
| 62.5 | 47 |
| 73.6 | 12 |

***

Entry 5:
ZnCo4Cu3O12: theoretical powder X-ray diffraction pattern (a wavelength of 1.5418 Å), based on a cell relaxed with GGA+U.
Kinematic intensities with the Lorentz-polarization factor, no thermal factor.

Structural model:
```
ZnCo4Cu3O12
1.0
-3.6080 3.6080 3.6080
3.6080 -3.6080 3.6080
3.6080 3.6080 -3.6080
Zn Co Cu O
1 4 3 12
Cartesian
0.0000 0.0000 0.0000 Zn
1.8040 1.8040 -1.8040 Co
1.8040 -1.8040 1.8040 Co
-1.8040 1.8040 1.8040 Co
1.8040 1.8040 1.8040 Co
3.6080 0.0000 0.0000 Cu
0.0000 3.6080 0.0000 Cu
0.0000 0.0000 3.6080 Cu
3.6080 -1.4063 2.3574 O
2.2017 1.2505 0.0000 O
5.0143 1.2505 0.0000 O
2.3574 3.6080 -1.4063 O
1.2505 0.0000 2.2017 O
0.0000 2.2017 1.2505 O
3.6080 1.4063 2.3574 O
2.3574 3.6080 1.4063 O
1.2505 0.0000 5.0143 O
-1.4063 2.3574 3.6080 O
1.4063 2.3574 3.6080 O
0.0000 5.0143 1.2505 O
```

Largest 6 diffraction maxima, in order of rising 2θ, 2θ = 10–80°:
| two_theta | I/Imax |
| --- | --- |
| 35.2 | 100 |
| 39.5 | 5 |
| 47.1 | 3 |
| 50.6 | 26 |
| 63.1 | 47 |
| 74.4 | 12 |

***

Entry 6:
Dy2MnCoO6: theoretical powder X-ray diffraction pattern (a wavelength of 1.5418 Å), based on a cell relaxed with GGA+U.
Kinematic intensities with the Lorentz-polarization factor, no thermal factor.

Structural model:
```
Dy2MnCoO6
1.0
3.7766 0.0000 0.0000
0.0000 5.7423 0.0000
-1.8658 0.0000 12.1195
Dy Mn Co O
4 2 2 12
Cartesian
0.1536 0.8061 2.9136 Dy
-0.7793 2.0651 8.9733 Dy
2.6901 3.6772 3.1461 Dy
1.7572 4.9362 9.2058 Dy
0.9554 0.0000 6.0597 Mn
1.8883 2.8711 0.0000 Mn
0.0000 0.0000 0.0000 Co
-0.9329 2.8711 6.0597 Co
-1.0174 1.3834 11.1381 O
-0.0845 1.4877 5.0783 O
-0.0211 4.2313 5.1554 O
-0.9540 4.3821 11.2151 O
-0.0399 0.1145 8.6873 O
0.8930 2.7567 2.6275 O
1.0178 2.9856 9.4919 O
1.9507 5.6278 3.4322 O
2.8648 1.3602 0.9044 O
1.9319 1.5110 6.9641 O
1.9952 4.2546 7.0411 O
2.9281 4.3588 0.9814 O
```

Largest 6 diffraction maxima, in order of rising 2θ, 2θ = 10–80°:
| two_theta | I/Imax |
| --- | --- |
| 14.6 | 71 |
| 28.5 | 100 |
| 29.5 | 71 |
| 30.4 | 36 |
| 32.0 | 58 |
| 38.6 | 42 |

***

Entry 7:
Dy2MnCoO6: theoretical powder X-ray diffraction pattern (a wavelength of 1.5418 Å), based on a cell relaxed with GGA+U.
Kinematic intensities with the Lorentz-polarization factor, no thermal factor.

Structural model:
```
Dy2MnCoO6
1.0
4.2857 0.0000 0.0000
0.0000 5.6550 0.0000
-3.3735 0.0000 9.6220
Dy Mn Co O
4 2 2 12
Cartesian
-0.0098 0.5088 2.3267 Dy
-1.6966 2.3187 7.1378 Dy
2.6088 3.3364 2.4843 Dy
0.9220 5.1462 7.2953 Dy
-1.6867 0.0000 4.8110 Mn
0.0000 2.8275 0.0000 Mn
2.1428 0.0000 0.0000 Co
0.4561 2.8275 4.8110 Co
-2.5147 1.0155 8.8157 O
-0.8280 1.8120 4.0047 O
-1.9787 4.0813 8.8617 O
-0.2919 4.4013 4.0507 O
-1.1277 0.1272 6.6776 O
0.5591 2.7003 1.8665 O
0.3531 2.9547 7.7555 O
2.0398 5.5278 2.9445 O
1.2041 1.2538 5.5713 O
2.8909 1.5738 0.7603 O
1.7402 3.8430 5.6173 O
3.4269 4.6396 0.8063 O
```

Largest 6 diffraction maxima, in order of rising 2θ, 2θ = 10–80°:
| two_theta | I/Imax |
| --- | --- |
| 18.4 | 50 |
| 31.0 | 83 |
| 33.0 | 47 |
| 33.4 | 100 |
| 37.4 | 41 |
| 42.6 | 35 |

***

Entry 8:
NdDyCo4O12: theoretical powder X-ray diffraction pattern (a wavelength of 1.5418 Å), based on a cell relaxed with GGA+U.
Kinematic intensities with the Lorentz-polarization factor, no thermal factor.

Structural model:
```
NdDyCo4O12
1.0
7.4832 0.0000 0.0000
0.0000 3.7110 3.7429
0.0000 -3.7110 3.7429
Nd Dy Co O
1 1 4 12
Cartesian
0.0000 0.0000 0.0000 Nd
3.7416 0.0000 3.3558 Dy
1.8831 -1.8131 5.4160 Co
1.8831 1.8131 5.4160 Co
5.6000 -1.8131 5.4160 Co
5.6000 1.8131 5.4160 Co
0.0000 -1.5412 5.4918 O
0.0000 1.5412 5.4918 O
1.6450 0.0000 1.8896 O
1.8744 -2.0703 3.5561 O
1.8744 2.0703 3.5561 O
2.2359 0.0000 5.1041 O
3.7416 -1.5633 1.7512 O
3.7416 1.5633 1.7512 O
5.2473 0.0000 5.1041 O
5.6088 -2.0703 3.5561 O
5.6088 2.0703 3.5561 O
5.8382 0.0000 1.8896 O
```

Largest 6 diffraction maxima, in order of rising 2θ, 2θ = 10–80°:
| two_theta | I/Imax |
| --- | --- |
| 20.6 | 100 |
| 33.9 | 33 |
| 34.0 | 73 |
| 40.0 | 32 |
| 48.7 | 25 |
| 60.7 | 26 |

***

Entry 9:
DyCoO3: theoretical powder X-ray diffraction pattern (a wavelength of 1.5418 Å), based on a cell relaxed with GGA+U.
Kinematic intensities with the Lorentz-polarization factor, no thermal factor.

Structural model:
```
DyCoO3
1.0
5.7006 0.0000 0.0000
0.0000 7.3546 0.0000
0.0000 0.0000 5.2340
Dy Co O
4 4 12
Cartesian
0.4741 1.8387 0.1275 Dy
2.3761 5.5160 2.7445 Dy
3.3244 1.8387 2.4895 Dy
5.2264 5.5160 5.1064 Dy
0.0000 0.0000 2.6170 Co
0.0000 3.6773 2.6170 Co
2.8503 0.0000 0.0000 Co
2.8503 3.6773 0.0000 Co
0.1739 5.5160 2.0420 O
1.0609 4.0646 4.1877 O
1.0609 6.9673 4.1877 O
1.7894 0.3873 1.5707 O
1.7894 3.2900 1.5707 O
2.6764 1.8387 4.6589 O
3.0241 5.5160 0.5750 O
3.9112 4.0646 3.6633 O
3.9112 6.9673 3.6633 O
4.6397 0.3873 1.0463 O
4.6397 3.2900 1.0463 O
5.5267 1.8387 3.1920 O
```

Largest 6 diffraction maxima, in order of rising 2θ, 2θ = 10–80°:
| two_theta | I/Imax |
| --- | --- |
| 26.1 | 29 |
| 33.7 | 100 |
| 34.3 | 21 |
| 48.8 | 16 |
| 52.7 | 19 |
| 61.0 | 17 |

***

Entry 10:
SrPrDyCoO6: theoretical powder X-ray diffraction pattern (a wavelength of 1.5418 Å), based on a cell relaxed with GGA+U.
Kinematic intensities with the Lorentz-polarization factor, no thermal factor.

Structural model:
```
SrPrDyCoO6
1.0
0.0000 4.0240 4.0240
4.0240 0.0000 4.0240
4.0240 4.0240 0.0000
Sr Pr Dy Co O
1 1 1 1 6
Cartesian
0.0000 0.0000 0.0000 Sr
4.0240 4.0240 4.0240 Pr
2.0120 2.0120 2.0120 Dy
6.0360 6.0360 6.0360 Co
6.0360 6.0360 4.1760 O
6.0360 4.1760 6.0360 O
7.8961 6.0360 6.0360 O
4.1760 6.0360 6.0360 O
6.0360 7.8961 6.0360 O
6.0360 6.0360 7.8961 O
```

Largest 6 diffraction maxima, in order of rising 2θ, 2θ = 10–80°:
| two_theta | I/Imax |
| --- | --- |
| 19.1 | 12 |
| 31.4 | 100 |
| 45.1 | 30 |
| 56.0 | 39 |
| 65.6 | 18 |
| 74.6 | 17 |

***

Q: Which formula does entry 4 have?
A: YCo4Cu3O12